# Tm6N5F
Computed X-ray diffraction stick pattern, a wavelength of 1.5418 Å. Input: a DFT-relaxed cell (PBE, Alexandria).
Neutral-atom scattering factors, no anomalous dispersion.

Structure:
```
12
Lattice="2.956 -5.112 0.000 2.956 5.112 0.000 -1.984 0.000 5.555" Properties=species:S:1:pos:R:3 pbc="T T T"
Tm -0.065 1.799 4.129
Tm 0.870 0.000 1.468
Tm -0.065 -1.799 4.129
Tm 3.994 1.799 1.425
Tm 3.059 0.000 4.087
Tm 3.994 -1.799 1.425
N -0.992 0.000 2.777
N 2.956 3.406 0.000
N 1.964 1.700 2.777
N 1.964 -1.700 2.777
N 2.956 -3.406 0.000
F 2.956 0.000 0.000
```

Most intense lines, 2θ = 5–70°, sorted by position:
d (Å), I_rel
2.782, 100
2.410, 71
1.882, 1
1.705, 23
1.702, 24
1.455, 10
1.453, 24
1.450, 7
1.392, 11
1.389, 4

=====

# UN4F8
Computed X-ray diffraction stick pattern, a wavelength of 1.5418 Å. Input: a DFT-relaxed cell (PBE, Alexandria).
Neutral-atom scattering factors, no anomalous dispersion.

Structure:
```
26
Lattice="7.480 -3.322 0.000 7.480 3.322 0.000 -4.688 0.000 11.455" Properties=species:S:1:pos:R:3 pbc="T T T"
U 3.964 3.108 8.591
U 6.308 -3.108 2.864
N 0.741 0.524 6.638
N 3.085 -0.524 0.910
N 1.311 0.067 10.249
N 3.655 -0.067 4.522
N 6.617 0.067 6.934
N 8.961 -0.067 1.206
N 7.187 0.524 10.545
N 9.531 -0.524 4.818
F 0.860 0.211 2.897
F 6.332 2.106 1.424
F -1.484 -0.211 8.625
F 3.669 0.627 1.229
F 3.974 1.666 7.164
F 6.284 2.106 4.304
F 3.954 1.666 10.019
F 1.325 -0.627 6.957
F 8.947 0.627 4.499
F 6.318 -1.666 1.437
F 3.988 -2.106 7.151
F 6.298 -1.666 4.291
F 6.603 -0.627 10.226
F 11.756 0.211 2.831
F 3.940 -2.106 10.032
F 9.412 -0.211 8.558
```

Most intense lines, 2θ = 5–70°, sorted by position:
d (Å), I_rel
6.923, 57
5.991, 100
5.726, 46
5.569, 51
4.527, 46
3.838, 49
3.791, 32
3.742, 40
2.766, 21
2.492, 29

=====

# NaF
Computed X-ray diffraction stick pattern, a wavelength of 1.5418 Å. Input: a DFT-relaxed cell (PBE, Alexandria).
Neutral-atom scattering factors, no anomalous dispersion.

Structure:
```
4
Lattice="1.962 -3.413 0.000 1.962 3.413 0.000 0.000 0.000 4.647" Properties=species:S:1:pos:R:3 pbc="T T T"
Na 1.962 2.275 3.485
Na 1.962 -2.275 1.162
F 1.962 2.282 1.162
F 1.962 -2.282 3.485
```

Most intense lines, 2θ = 5–70°, sorted by position:
d (Å), I_rel
3.406, 100
2.323, 43
1.969, 49
1.962, 24
1.919, 34
1.707, 4
1.701, 7
1.502, 35
1.499, 17
1.372, 6

=====

# NaF
Computed X-ray diffraction stick pattern, a wavelength of 1.5418 Å. Input: a DFT-relaxed cell (PBE, Alexandria).
Neutral-atom scattering factors, no anomalous dispersion.

Structure:
```
2
Lattice="0.000 2.573 2.573 2.573 0.000 2.573 2.573 2.573 0.000" Properties=species:S:1:pos:R:3 pbc="T T T"
Na 0.000 0.000 0.000
F 1.287 1.287 1.287
```

Most intense lines, 2θ = 5–70°, sorted by position:
d (Å), I_rel
2.971, 100
2.573, 1
1.820, 60
1.552, 33
1.486, 1

=====

# Na2Nb3F9
Computed X-ray diffraction stick pattern, a wavelength of 1.5418 Å. Input: a DFT-relaxed cell (PBE, Alexandria).
Neutral-atom scattering factors, no anomalous dispersion.

Structure:
```
28
Lattice="4.290 -6.903 0.000 4.290 6.903 0.000 -4.016 0.000 7.372" Properties=species:S:1:pos:R:3 pbc="T T T"
Na 0.397 4.848 4.875
Na 4.166 4.848 2.497
Na 0.397 -4.848 4.875
Na 4.166 -4.848 2.497
Nb -0.178 1.386 6.063
Nb 2.414 0.000 0.660
Nb -0.178 -1.386 6.063
Nb 4.741 1.386 1.309
Nb 2.149 0.000 6.712
Nb 4.741 -1.386 1.309
F -0.692 2.826 4.625
F -2.230 1.509 6.643
F 0.527 0.000 1.634
F -0.670 0.000 4.507
F -2.230 -1.509 6.643
F 4.290 3.002 0.000
F 2.776 1.522 2.097
F -0.692 -2.826 4.625
F 1.787 1.522 5.275
F 2.776 -1.522 2.097
F 5.256 2.826 2.747
F 1.787 -1.522 5.275
F 4.290 -3.002 0.000
F 6.793 1.509 0.729
F 5.233 0.000 2.865
F 4.036 0.000 5.738
F 6.793 -1.509 0.729
F 5.256 -2.826 2.747
```

Most intense lines, 2θ = 5–70°, sorted by position:
d (Å), I_rel
7.372, 83
6.903, 71
6.613, 100
6.450, 99
5.039, 43
2.520, 17
2.405, 22
2.038, 25
1.973, 57
1.409, 21

=====

# NaNbF5
Computed X-ray diffraction stick pattern, a wavelength of 1.5418 Å. Input: a DFT-relaxed cell (PBE, Alexandria).
Neutral-atom scattering factors, no anomalous dispersion.

Structure:
```
14
Lattice="4.655 -3.430 0.000 4.655 3.430 0.000 -3.512 0.000 7.398" Properties=species:S:1:pos:R:3 pbc="T T T"
Na 2.021 3.427 5.549
Na 3.777 -3.427 1.850
Nb 4.655 0.000 0.000
Nb 2.899 0.000 3.699
F 4.611 1.992 0.026
F 2.943 1.992 3.673
F 1.122 0.040 2.842
F -0.635 -0.040 6.541
F 2.021 0.048 5.549
F 3.777 -0.048 1.850
F 6.432 0.040 0.857
F 4.676 -0.040 4.556
F 2.855 -1.992 3.725
F 1.187 -1.992 7.372
```

Most intense lines, 2θ = 5–70°, sorted by position:
d (Å), I_rel
5.316, 100
4.205, 79
3.699, 26
3.664, 25
3.516, 85
3.430, 50
2.207, 20
2.103, 26
2.047, 24
1.997, 27

=====

# Na6NbF12
Computed X-ray diffraction stick pattern, a wavelength of 1.5418 Å. Input: a DFT-relaxed cell (PBE, Alexandria).
Neutral-atom scattering factors, no anomalous dispersion.

Structure:
```
19
Lattice="5.120 2.956 3.205 -5.120 2.956 3.205 0.000 -5.912 3.205" Properties=species:S:1:pos:R:3 pbc="T T T"
Na -2.839 -2.801 5.145
Na -3.845 1.059 4.469
Na 1.006 -3.859 4.469
Na -1.006 3.859 5.145
Na 3.845 -1.059 5.145
Na 2.839 2.801 4.469
Nb 0.000 0.000 4.807
F -1.218 -4.069 4.228
F -4.133 -0.979 5.386
F -1.580 -0.191 3.697
F -2.914 3.089 4.228
F 0.956 -1.272 3.697
F -0.624 -1.464 5.918
F 0.624 1.464 3.697
F -0.956 1.272 5.918
F 2.914 -3.089 5.386
F 1.580 0.191 5.918
F 4.133 0.979 4.228
F 1.218 4.069 5.386
```

Most intense lines, 2θ = 5–70°, sorted by position:
d (Å), I_rel
6.519, 47
5.120, 30
4.226, 41
4.027, 58
3.205, 20
3.165, 100
2.190, 18
1.953, 46
1.935, 44
1.657, 31

=====

# NaNdTiNbO6F
Computed X-ray diffraction stick pattern, a wavelength of 1.5418 Å. Input: a DFT-relaxed cell (PBE, Alexandria).
Neutral-atom scattering factors, no anomalous dispersion.

Structure:
```
22
Lattice="-3.612 3.797 5.172 3.612 -3.797 5.172 3.612 3.797 -5.172" Properties=species:S:1:pos:R:3 pbc="T T T"
Na -1.806 1.899 2.586
Na 1.806 1.899 2.586
Nd 0.000 0.000 0.000
Nd 0.000 3.797 0.000
Ti 1.806 1.899 -2.586
Ti 1.806 -1.899 2.586
Nb 3.612 0.000 0.000
Nb 0.000 0.000 5.172
O 2.126 -0.458 1.269
O 5.097 -0.458 1.269
O 3.612 -1.899 3.393
O 2.126 3.339 -1.269
O 3.612 1.899 0.694
O 1.485 -0.458 3.903
O 2.126 4.255 1.269
O 0.000 1.899 4.478
O 1.485 0.458 6.441
O 0.000 5.696 1.779
O -1.485 4.255 3.903
O 1.485 4.255 3.903
F 0.000 1.899 1.318
F 3.612 1.899 3.855
```

Most intense lines, 2θ = 5–70°, sorted by position:
d (Å), I_rel
5.172, 53
3.797, 23
3.612, 21
3.061, 100
2.961, 91
2.617, 31
2.335, 26
1.839, 64
1.598, 28
1.556, 38

=====

# NaNdTiNbO6F
Computed X-ray diffraction stick pattern, a wavelength of 1.5418 Å. Input: a DFT-relaxed cell (PBE, Alexandria).
Neutral-atom scattering factors, no anomalous dispersion.

Structure:
```
44
Lattice="7.382 0.000 0.000 0.000 7.382 0.000 0.000 0.000 10.472" Properties=species:S:1:pos:R:3 pbc="T T T"
Na 0.000 1.613 0.000
Na 0.000 5.768 5.236
Na 1.613 0.000 7.854
Na 5.768 0.000 2.618
Nd 1.658 3.691 7.854
Nd 3.691 1.658 0.000
Nd 3.691 5.724 5.236
Nd 5.724 3.691 2.618
Ti 1.958 3.691 2.618
Ti 3.691 1.958 5.236
Ti 3.691 5.424 0.000
Ti 5.424 3.691 7.854
Nb 0.000 1.909 5.236
Nb 0.000 5.473 0.000
Nb 1.909 0.000 2.618
Nb 5.473 0.000 7.854
O 0.422 3.302 3.847
O 0.422 4.079 1.389
O 0.461 0.461 3.927
O 0.461 6.921 1.309
O 1.856 2.019 5.989
O 1.856 5.362 9.719
O 2.019 1.856 1.865
O 2.019 5.526 3.371
O 3.302 0.422 4.007
O 3.302 6.960 1.229
O 3.382 3.382 3.927
O 3.382 3.999 1.309
O 3.999 3.382 6.545
O 3.999 3.999 9.163
O 4.079 0.422 6.465
O 4.079 6.960 9.243
O 5.362 1.856 8.607
O 5.362 5.526 7.101
O 5.526 2.019 4.483
O 5.526 5.362 0.753
O 6.921 0.461 6.545
O 6.921 6.921 9.163
O 6.960 3.302 6.625
O 6.960 4.079 9.084
F 1.781 1.781 9.163
F 1.781 5.601 6.545
F 5.601 1.781 1.309
F 5.601 5.601 3.927
```

Most intense lines, 2θ = 5–70°, sorted by position:
d (Å), I_rel
4.672, 44
3.017, 100
2.902, 12
2.618, 9
2.610, 16
2.278, 12
1.942, 13
1.847, 48
1.578, 14
1.574, 24

=====

# Na3NbOF6
Computed X-ray diffraction stick pattern, a wavelength of 1.5418 Å. Input: a DFT-relaxed cell (PBE, Alexandria).
Neutral-atom scattering factors, no anomalous dispersion.

Structure:
```
44
Lattice="5.755 0.000 0.000 0.000 5.842 0.000 0.000 0.000 17.117" Properties=species:S:1:pos:R:3 pbc="T T T"
Na 1.251 0.045 0.084
Na 1.358 0.178 12.708
Na 1.392 3.009 2.124
Na 1.485 2.832 10.683
Na 1.519 5.664 4.150
Na 1.626 5.797 8.642
Na 4.129 2.876 17.033
Na 4.236 2.743 4.409
Na 4.270 5.753 14.993
Na 4.363 0.088 6.434
Na 4.397 3.099 12.967
Na 4.504 2.966 8.475
Nb 1.405 2.878 6.421
Nb 1.473 2.964 14.980
Nb 4.282 0.043 10.696
Nb 4.350 5.799 2.137
O 0.063 0.918 10.442
O 2.815 4.924 1.884
O 2.940 2.003 6.675
O 5.692 3.838 15.233
F 0.302 1.474 7.513
F 0.462 1.599 5.123
F 0.488 0.942 2.298
F 0.762 1.031 15.007
F 0.880 2.460 13.035
F 1.257 3.538 8.376
F 1.620 2.304 16.934
F 1.998 3.382 4.477
F 2.115 4.811 6.449
F 2.389 4.900 10.856
F 2.416 4.243 13.682
F 2.576 4.368 16.072
F 3.179 1.447 9.604
F 3.339 1.322 11.994
F 3.366 1.979 14.819
F 3.640 1.890 2.110
F 3.757 0.461 4.082
F 4.135 5.225 8.741
F 4.498 0.617 0.183
F 4.875 5.381 12.640
F 4.993 3.952 10.668
F 5.267 3.863 6.261
F 5.293 4.520 3.435
F 5.453 4.395 1.045
```

Most intense lines, 2θ = 5–70°, sorted by position:
d (Å), I_rel
4.825, 96
4.776, 81
4.279, 28
4.100, 62
2.960, 100
2.877, 29
2.140, 28
2.050, 45
1.694, 44
1.677, 32

=====

Copy entry 4 word for word.
# NaF
Computed X-ray diffraction stick pattern, a wavelength of 1.5418 Å. Input: a DFT-relaxed cell (PBE, Alexandria).
Neutral-atom scattering factors, no anomalous dispersion.

Structure:
```
2
Lattice="0.000 2.573 2.573 2.573 0.000 2.573 2.573 2.573 0.000" Properties=species:S:1:pos:R:3 pbc="T T T"
Na 0.000 0.000 0.000
F 1.287 1.287 1.287
```

Most intense lines, 2θ = 5–70°, sorted by position:
d (Å), I_rel
2.971, 100
2.573, 1
1.820, 60
1.552, 33
1.486, 1